Record 1
Structure and simulated XRD peak list of MnCr2Te4 (the PBE geometry in Alexandria; a wavelength of 1.5418 Å).

Crystal structure
Unit cell a=12.1506 b=13.9285 c=8.2037 alpha=90.00 beta=90.00 gamma=90.00
Space group Fdd2 (No. 43)
One atom of each set of equivalent atoms:
Mn  0.0000  0.0000  0.0000 (multiplicity 8)
Cr  0.0086  0.2438  0.7650 (multiplicity 16)
Te  0.1186  0.3301  0.0172 (multiplicity 16)
Te  0.1230  0.0831  0.2637 (multiplicity 16)

Peak list (10 most intense, 10° ≤ 2θ ≤ 80°, in order of rising 2θ)
2theta	I/Imax	index
29.23	100.0	2 2 2
29.40	14.8	4 0 0
29.57	51.5	2 4 0
39.10	43.9	4 2 2
39.36	18.5	4 4 0
44.16	19.0	0 0 4
44.86	36.1	0 6 2
52.05	19.1	6 2 2
54.04	18.7	2 4 4
78.84	12.1	8 6 2

Record 2
Structure and simulated XRD peak list of Mn3Cr3Te8 (the PBE geometry in Alexandria; a wavelength of 1.5418 Å).

Crystal structure
Unit cell a=8.1715 b=8.1715 c=19.9515 alpha=90.00 beta=90.00 gamma=120.00
Space group R-3m (No. 166, hexagonal axes)
One atom of each set of equivalent atoms:
Mn  0.0000  0.0000  0.0000 (multiplicity 3)
Mn  0.0000  0.0000  0.3754 (multiplicity 6)
Cr  0.0000  0.5000  0.5000 (multiplicity 9)
Te  0.0000  0.0000  0.2397 (multiplicity 6)
Te  0.0249  0.5125  0.7544 (multiplicity 18)

Peak list (10 most intense, 10° ≤ 2θ ≤ 80°, in order of rising 2θ)
2theta	I/Imax	index
13.29	13.5	0 0 3
25.59	14.9	1 1 3
26.75	95.5	2 0 2
30.99	100.0	0 2 4
40.61	26.5	0 2 7
44.34	51.6	2 2 0
44.44	50.1	2 0 8
52.56	29.3	0 4 2
55.08	17.3	4 0 4
64.59	14.4	0 4 8

Record 3
Structure and simulated XRD peak list of Mn2V6Cr (the PBE geometry in Alexandria; a wavelength of 1.5418 Å).

Crystal structure
Unit cell a=9.2382 b=2.9073 c=8.8000 alpha=90.00 beta=108.28 gamma=90.00
Space group C2/m (No. 12)
One atom of each set of equivalent atoms:
Mn  0.1642  0.0000  0.2182 (multiplicity 4)
V  0.0037  0.5000  0.3286 (multiplicity 4)
V  0.1681  0.0000  0.8905 (multiplicity 4)
V  0.1695  0.0000  0.5608 (multiplicity 4)
Cr  0.0000  0.5000  0.0000 (multiplicity 2)

Peak list (7 most intense, 10° ≤ 2θ ≤ 80°, in order of rising 2θ)
2theta	I/Imax	index
10.59	0.8	0 0 1
43.62	33.8	2 0 3
43.83	100.0	1 1 -3
43.92	66.5	3 1 0
63.42	9.8	2 0 -6
63.65	9.7	6 0 0
64.06	9.6	0 2 0

Record 4
Structure and simulated XRD peak list of Mn3VCr6 (the PBE geometry in Alexandria; a wavelength of 1.5418 Å).

Crystal structure
Unit cell a=6.1694 b=6.0350 c=8.0973 alpha=90.00 beta=127.50 gamma=90.00
Space group P2_1/c (No. 14)
One atom of each set of equivalent atoms:
Mn  0.0000  0.0000  0.0000 (multiplicity 2)
Mn  0.2206  0.1381  0.5590 (multiplicity 4)
V  0.5000  0.0000  0.0000 (multiplicity 2)
Cr  0.0298  0.6591  0.8029 (multiplicity 4)
Cr  0.2927  0.7310  0.2080 (multiplicity 4)
Cr  0.3952  0.1142  0.3535 (multiplicity 4)

Peak list (10 most intense, 10° ≤ 2θ ≤ 80°, in order of rising 2θ)
2theta	I/Imax	index
38.20	17.3	2 1 -3
41.04	41.6	0 2 2
41.84	77.1	1 2 1
44.41	62.4	3 0 -2
44.73	56.7	1 1 2
44.91	34.7	0 1 3
46.53	55.4	2 2 -3
47.41	100.0	2 1 -4
48.95	21.9	1 3 0
49.61	17.6	2 1 1

Record 5
Structure and simulated XRD peak list of Mn5VCr4 (the PBE geometry in Alexandria; a wavelength of 1.5418 Å).

Crystal structure
Unit cell a=2.8272 b=2.8272 c=14.1928 alpha=90.00 beta=90.00 gamma=90.00
Space group P4/mmm (No. 123)
One atom of each set of equivalent atoms:
Mn  0.0000  0.0000  0.0000 (multiplicity 1)
Mn  0.0000  0.0000  0.1976 (multiplicity 2)
Mn  0.0000  0.0000  0.3980 (multiplicity 2)
V  0.5000  0.5000  0.5000 (multiplicity 1)
Cr  0.5000  0.5000  0.0995 (multiplicity 2)
Cr  0.5000  0.5000  0.2985 (multiplicity 2)

Peak list (3 most intense, 10° ≤ 2θ ≤ 80°, in order of rising 2θ)
2theta	I/Imax	index
45.30	100.0	1 1 0
65.80	4.8	0 0 10
66.10	9.6	2 0 0

Record 6
Structure and simulated XRD peak list of Mn4VCr (the PBE geometry in Alexandria; a wavelength of 1.5418 Å).

Crystal structure
Unit cell a=4.0183 b=4.0183 c=4.9560 alpha=90.00 beta=90.00 gamma=120.00
Space group P-3m1 (No. 164)
One atom of each set of equivalent atoms:
Mn  0.3333  0.6667  0.3420 (multiplicity 2)
Mn  0.3333  0.6667  0.8483 (multiplicity 2)
V  0.0000  0.0000  0.5000 (multiplicity 1)
Cr  0.0000  0.0000  0.0000 (multiplicity 1)

Peak list (3 most intense, 10° ≤ 2θ ≤ 80°, in order of rising 2θ)
2theta	I/Imax	index
44.91	100.0	1 0 2
45.13	98.8	1 1 0
65.56	28.8	0 2 2